Diffraction record for Tm4TlPd15. The X-ray powder pattern is simulated, not measured: it uses a cell relaxed with PBE and Cu Kα X-rays.
No peak broadening, texture or thermal motion is included.

Largest 10 diffraction maxima, by angle, 15 to 90 degrees two-theta:
2θ = 21.72°, I = 5.2
2θ = 30.90°, I = 4.5
2θ = 38.09°, I = 100.0
2θ = 44.27°, I = 48.9
2θ = 49.83°, I = 2.6
2θ = 54.96°, I = 1.9
2θ = 64.40°, I = 31.7
2θ = 68.83°, I = 1.3
2θ = 77.34°, I = 37.2
2θ = 81.48°, I = 10.8

Cell lengths 4.092, 4.092, 20.465 Å; angles 90.00, 90.00, 90.00 degrees
Positions (direct):
Tm 0.000 0.000 0.100
Tm 0.000 0.000 0.300
Tm 0.000 0.000 0.700
Tm 0.000 0.000 0.900
Tl 0.000 0.000 0.500
Pd 0.000 0.500 0.000
Pd 0.000 0.500 0.200
Pd 0.000 0.500 0.400
Pd 0.000 0.500 0.600
Pd 0.000 0.500 0.800
Pd 0.500 0.000 0.000
Pd 0.500 0.000 0.200
Pd 0.500 0.000 0.400
Pd 0.500 0.000 0.600
Pd 0.500 0.000 0.800
Pd 0.500 0.500 0.100
Pd 0.500 0.500 0.300
Pd 0.500 0.500 0.500
Pd 0.500 0.500 0.700
Pd 0.500 0.500 0.900

***

Diffraction record for TmTlPd6. The X-ray powder pattern is simulated, not measured: it uses a cell relaxed with PBE and Cu Kα X-rays.
No peak broadening, texture or thermal motion is included.

Largest 10 diffraction maxima, by angle, 15 to 90 degrees two-theta:
2θ = 21.77°, I = 4.3
2θ = 30.87°, I = 3.8
2θ = 38.09°, I = 100.0
2θ = 44.06°, I = 16.5
2θ = 44.38°, I = 32.4
2θ = 64.32°, I = 21.2
2θ = 64.57°, I = 10.5
2θ = 77.05°, I = 12.6
2θ = 77.50°, I = 24.7
2θ = 81.49°, I = 10.9

Cell lengths 5.773, 5.773, 4.110 Å; angles 90.00, 90.00, 90.08 degrees
Positions (direct):
Tm 0.000 0.000 0.000
Tl 0.500 0.500 0.000
Pd 0.000 0.500 0.000
Pd 0.249 0.249 0.500
Pd 0.249 0.751 0.500
Pd 0.500 0.000 0.000
Pd 0.751 0.249 0.500
Pd 0.751 0.751 0.500

***

Diffraction record for TmTlPd. The X-ray powder pattern is simulated, not measured: it uses a cell relaxed with PBE and Cu Kα X-rays.
No peak broadening, texture or thermal motion is included.

Largest 10 diffraction maxima, by angle, 15 to 90 degrees two-theta:
2θ = 33.20°, I = 100.0
2θ = 33.88°, I = 22.0
2θ = 34.59°, I = 26.5
2θ = 35.75°, I = 46.0
2θ = 39.35°, I = 20.2
2θ = 39.46°, I = 27.8
2θ = 42.66°, I = 17.8
2θ = 49.42°, I = 20.7
2θ = 64.36°, I = 15.5
2θ = 64.98°, I = 22.5

Cell lengths 13.737, 3.688, 7.903 Å; angles 90.00, 90.00, 90.00 degrees
Positions (direct):
Tm 0.051 0.000 0.218
Tm 0.250 0.000 0.831
Tm 0.449 0.000 0.218
Tm 0.551 0.000 0.782
Tm 0.750 0.000 0.169
Tm 0.949 0.000 0.782
Tl 0.109 0.500 0.568
Tl 0.250 0.500 0.173
Tl 0.391 0.500 0.568
Tl 0.609 0.500 0.432
Tl 0.750 0.500 0.827
Tl 0.891 0.500 0.432
Pd 0.094 0.500 0.931
Pd 0.250 0.000 0.444
Pd 0.406 0.500 0.931
Pd 0.594 0.500 0.069
Pd 0.750 0.000 0.556
Pd 0.906 0.500 0.069

***

Diffraction record for Y3Tl2Pd2. The X-ray powder pattern is simulated, not measured: it uses a cell relaxed with PBE and Cu Kα X-rays.
No peak broadening, texture or thermal motion is included.

Largest 10 diffraction maxima, by angle, 15 to 90 degrees two-theta:
2θ = 23.69°, I = 20.2
2θ = 29.70°, I = 22.9
2θ = 33.12°, I = 100.0
2θ = 33.26°, I = 69.2
2θ = 35.35°, I = 63.8
2θ = 43.00°, I = 25.1
2θ = 45.93°, I = 30.0
2θ = 48.47°, I = 20.3
2θ = 57.87°, I = 35.4
2θ = 61.40°, I = 25.6

Cell lengths 11.760, 11.760, 3.756 Å; angles 90.00, 90.00, 160.65 degrees
Positions (direct):
Y 0.000 0.000 0.000
Y 0.171 0.829 0.000
Y 0.829 0.171 0.000
Tl 0.417 0.583 0.500
Tl 0.583 0.417 0.500
Pd 0.290 0.710 0.500
Pd 0.710 0.290 0.500

***

Diffraction record for Y2TlPd5. The X-ray powder pattern is simulated, not measured: it uses a cell relaxed with PBE and Cu Kα X-rays.
No peak broadening, texture or thermal motion is included.

Largest 10 diffraction maxima, by angle, 15 to 90 degrees two-theta:
2θ = 36.80°, I = 100.0
2θ = 42.03°, I = 34.4
2θ = 44.17°, I = 14.9
2θ = 60.95°, I = 11.3
2θ = 62.66°, I = 15.5
2θ = 73.22°, I = 6.5
2θ = 73.41°, I = 19.3
2θ = 76.32°, I = 5.8
2θ = 76.48°, I = 5.7
2θ = 78.19°, I = 5.4

Cell lengths 5.938, 5.938, 5.935 Å; angles 118.39, 118.39, 92.65 degrees
Positions (direct):
Y 0.250 0.750 0.000
Y 0.750 0.250 0.000
Tl 0.251 0.251 0.500
Pd 0.250 0.250 0.999
Pd 0.250 0.751 0.500
Pd 0.750 0.750 0.500
Pd 0.751 0.250 0.500
Pd 0.751 0.751 0.001

***

Diffraction record for Y5TlPd. The X-ray powder pattern is simulated, not measured: it uses a cell relaxed with PBE and Cu Kα X-rays.
No peak broadening, texture or thermal motion is included.

Largest 10 diffraction maxima, by angle, 15 to 90 degrees two-theta:
2θ = 19.83°, I = 28.0
2θ = 29.97°, I = 59.2
2θ = 30.61°, I = 77.3
2θ = 30.95°, I = 65.6
2θ = 31.82°, I = 51.7
2θ = 32.50°, I = 100.0
2θ = 32.94°, I = 65.0
2θ = 36.54°, I = 35.7
2θ = 39.02°, I = 30.8
2θ = 52.54°, I = 38.0

Cell lengths 5.942, 5.942, 11.942 Å; angles 101.20, 101.20, 80.58 degrees
Positions (direct):
Y 0.002 0.998 0.750
Y 0.075 0.432 0.126
Y 0.222 0.529 0.435
Y 0.432 0.075 0.626
Y 0.471 0.778 0.065
Y 0.529 0.222 0.935
Y 0.568 0.925 0.374
Y 0.778 0.471 0.565
Y 0.925 0.568 0.874
Y 0.998 0.002 0.250
Tl 0.403 0.597 0.750
Tl 0.597 0.403 0.250
Pd 0.000 0.000 0.000
Pd 0.000 0.000 0.500

***

Diffraction record for YTlPd4. The X-ray powder pattern is simulated, not measured: it uses a cell relaxed with PBE and Cu Kα X-rays.
No peak broadening, texture or thermal motion is included.

Largest 10 diffraction maxima, by angle, 15 to 90 degrees two-theta:
2θ = 20.09°, I = 5.8
2θ = 33.10°, I = 35.8
2θ = 39.03°, I = 100.0
2θ = 40.84°, I = 31.8
2θ = 59.13°, I = 13.7
2θ = 63.12°, I = 32.1
2θ = 69.47°, I = 25.5
2θ = 79.14°, I = 5.9
2θ = 82.67°, I = 11.3
2θ = 83.84°, I = 11.6

Cell lengths 5.412, 5.412, 5.412 Å; angles 60.00, 60.00, 60.00 degrees
Positions (direct):
Y 0.000 0.000 0.000
Tl 0.250 0.250 0.250
Pd 0.126 0.625 0.625
Pd 0.625 0.126 0.625
Pd 0.625 0.625 0.126
Pd 0.625 0.625 0.625

***

Diffraction record for Zr2TlPd6. The X-ray powder pattern is simulated, not measured: it uses a cell relaxed with PBE and Cu Kα X-rays.
No peak broadening, texture or thermal motion is included.

Largest 10 diffraction maxima, by angle, 15 to 90 degrees two-theta:
2θ = 32.31°, I = 79.5
2θ = 38.22°, I = 59.2
2θ = 40.03°, I = 77.4
2θ = 40.39°, I = 100.0
2θ = 45.40°, I = 40.8
2θ = 46.04°, I = 40.4
2θ = 60.89°, I = 16.5
2θ = 65.90°, I = 17.7
2θ = 69.36°, I = 17.6
2θ = 75.63°, I = 30.7

Cell lengths 8.023, 8.023, 3.043 Å; angles 90.00, 90.00, 123.38 degrees
Positions (direct):
Zr 0.186 0.814 0.000
Zr 0.814 0.186 0.000
Tl 0.500 0.500 0.500
Pd 0.148 0.472 0.500
Pd 0.176 0.176 0.000
Pd 0.472 0.148 0.500
Pd 0.528 0.852 0.500
Pd 0.824 0.824 0.000
Pd 0.852 0.528 0.500

***

Diffraction record for Tm6Pd5. The X-ray powder pattern is simulated, not measured: it uses a cell relaxed with PBE and Cu Kα X-rays.
No peak broadening, texture or thermal motion is included.

Largest 10 diffraction maxima, by angle, 15 to 90 degrees two-theta:
2θ = 25.80°, I = 11.2
2θ = 36.81°, I = 50.5
2θ = 36.95°, I = 100.0
2θ = 52.97°, I = 8.8
2θ = 53.10°, I = 8.8
2θ = 53.47°, I = 8.6
2θ = 66.34°, I = 18.0
2θ = 66.45°, I = 17.6
2θ = 66.68°, I = 17.7
2θ = 89.80°, I = 8.2

Cell lengths 4.889, 6.854, 7.709 Å; angles 90.00, 108.36, 90.00 degrees
Positions (direct):
Tm 0.000 0.249 0.000
Tm 0.000 0.751 0.000
Tm 0.335 0.249 0.670
Tm 0.335 0.751 0.670
Tm 0.665 0.249 0.330
Tm 0.665 0.751 0.330
Pd 0.166 0.000 0.333
Pd 0.172 0.500 0.343
Pd 0.500 0.500 0.000
Pd 0.828 0.500 0.657
Pd 0.834 0.000 0.667

***

Diffraction record for Tm5Pd3. The X-ray powder pattern is simulated, not measured: it uses a cell relaxed with PBE and Cu Kα X-rays.
No peak broadening, texture or thermal motion is included.

Largest 10 diffraction maxima, by angle, 15 to 90 degrees two-theta:
2θ = 29.32°, I = 47.6
2θ = 29.51°, I = 17.1
2θ = 32.60°, I = 40.4
2θ = 32.77°, I = 14.6
2θ = 33.80°, I = 35.2
2θ = 36.54°, I = 100.0
2θ = 37.65°, I = 18.0
2θ = 38.56°, I = 15.7
2θ = 39.31°, I = 16.2
2θ = 59.38°, I = 17.0

Cell lengths 11.005, 11.005, 6.297 Å; angles 90.00, 90.00, 90.00 degrees
Positions (direct):
Tm 0.041 0.162 0.131
Tm 0.041 0.338 0.631
Tm 0.162 0.041 0.631
Tm 0.162 0.459 0.131
Tm 0.250 0.750 0.000
Tm 0.250 0.750 0.500
Tm 0.338 0.041 0.131
Tm 0.338 0.459 0.631
Tm 0.459 0.162 0.631
Tm 0.459 0.338 0.131
Tm 0.541 0.662 0.869
Tm 0.541 0.838 0.369
Tm 0.662 0.541 0.369
Tm 0.662 0.959 0.869
Tm 0.750 0.250 0.000
Tm 0.750 0.250 0.500
Tm 0.838 0.541 0.869
Tm 0.838 0.959 0.369
Tm 0.959 0.662 0.369
Tm 0.959 0.838 0.869
Pd 0.095 0.595 0.750
Pd 0.095 0.905 0.250
Pd 0.250 0.250 0.388
Pd 0.250 0.250 0.888
Pd 0.405 0.595 0.250
Pd 0.405 0.905 0.750
Pd 0.595 0.095 0.250
Pd 0.595 0.405 0.750
Pd 0.750 0.750 0.112
Pd 0.750 0.750 0.612
Pd 0.905 0.095 0.750
Pd 0.905 0.405 0.250

***

Diffraction record for Y2TmPd4. The X-ray powder pattern is simulated, not measured: it uses a cell relaxed with PBE and Cu Kα X-rays.
No peak broadening, texture or thermal motion is included.

Largest 10 diffraction maxima, by angle, 15 to 90 degrees two-theta:
2θ = 19.66°, I = 66.9
2θ = 23.33°, I = 76.7
2θ = 32.20°, I = 76.3
2θ = 36.88°, I = 100.0
2θ = 38.19°, I = 49.7
2θ = 39.35°, I = 54.2
2θ = 39.93°, I = 56.4
2θ = 40.34°, I = 49.6
2θ = 41.17°, I = 81.7
2θ = 41.92°, I = 73.4

Cell lengths 5.206, 5.250, 6.952 Å; angles 71.30, 85.55, 68.36 degrees
Positions (direct):
Y 0.002 0.332 0.295
Y 0.998 0.668 0.705
Tm 0.500 0.000 0.000
Pd 0.000 0.000 0.000
Pd 0.312 0.683 0.355
Pd 0.500 0.500 0.000
Pd 0.688 0.317 0.645

***

Diffraction record for Tm2ZnPd3. The X-ray powder pattern is simulated, not measured: it uses a cell relaxed with PBE and Cu Kα X-rays.
No peak broadening, texture or thermal motion is included.

Largest 10 diffraction maxima, by angle, 15 to 90 degrees two-theta:
2θ = 31.50°, I = 37.3
2θ = 33.25°, I = 62.4
2θ = 33.48°, I = 100.0
2θ = 40.08°, I = 39.6
2θ = 47.91°, I = 72.8
2θ = 48.61°, I = 17.0
2θ = 53.03°, I = 32.9
2θ = 64.76°, I = 14.4
2θ = 78.43°, I = 16.7
2θ = 79.68°, I = 16.1

Cell lengths 6.104, 6.104, 6.104 Å; angles 136.75, 127.61, 70.20 degrees
Positions (direct):
Tm 0.189 0.189 0.000
Tm 0.811 0.811 0.000
Zn 0.500 0.500 0.000
Pd 0.000 0.500 0.500
Pd 0.367 0.867 0.500
Pd 0.633 0.133 0.500

***

Diffraction record for Tm3Zn2Pd5. The X-ray powder pattern is simulated, not measured: it uses a cell relaxed with PBE and Cu Kα X-rays.
No peak broadening, texture or thermal motion is included.

Largest 10 diffraction maxima, by angle, 15 to 90 degrees two-theta:
2θ = 30.91°, I = 29.9
2θ = 34.86°, I = 26.9
2θ = 37.29°, I = 100.0
2θ = 38.00°, I = 41.8
2θ = 40.70°, I = 28.8
2θ = 41.36°, I = 19.3
2θ = 47.07°, I = 23.9
2θ = 62.02°, I = 19.7
2θ = 64.42°, I = 10.3
2θ = 80.92°, I = 10.4

Cell lengths 9.764, 9.764, 3.861 Å; angles 90.00, 90.00, 90.00 degrees
Positions (direct):
Tm 0.000 0.000 0.000
Tm 0.175 0.325 0.000
Tm 0.325 0.825 0.000
Tm 0.500 0.500 0.000
Tm 0.675 0.175 0.000
Tm 0.825 0.675 0.000
Zn 0.121 0.621 0.000
Zn 0.379 0.121 0.000
Zn 0.621 0.879 0.000
Zn 0.879 0.379 0.000
Pd 0.000 0.500 0.500
Pd 0.071 0.790 0.500
Pd 0.210 0.071 0.500
Pd 0.290 0.571 0.500
Pd 0.429 0.290 0.500
Pd 0.500 0.000 0.500
Pd 0.571 0.710 0.500
Pd 0.710 0.429 0.500
Pd 0.790 0.929 0.500
Pd 0.929 0.210 0.500